[1]
The following is a simulated powder XRD pattern of MgTiSbP3O12. It was derived from a structure optimized by DFT (GGA-PBE), using Cu Kα (λ = 1.5418 Å).
Kinematic intensities with the Lorentz-polarization factor, no thermal factor.

Structural model:
Cell: 8.3896 8.3896 8.3896 Å, 63.99 63.99 63.99°
Fractional coordinates of all 36 atoms:
Mg1 0.0000 0.0000 0.0000
Mg2 0.5000 0.5000 0.5000
Ti1 0.1544 0.1544 0.1544
Ti2 0.6544 0.6544 0.6544
Sb1 0.3404 0.3404 0.3404
Sb2 0.8404 0.8404 0.8404
P1 0.0707 0.7589 0.4356
P2 0.2589 0.5707 0.9356
P3 0.4356 0.0707 0.7589
P4 0.5707 0.9356 0.2589
P5 0.7589 0.4356 0.0707
P6 0.9356 0.2589 0.5707
O1 0.0076 0.2061 0.3858
O2 0.0706 0.3327 0.5716
O3 0.0716 0.8326 0.5706
O4 0.0743 0.9107 0.2428
O5 0.0888 0.7504 0.9211
O6 0.2061 0.3858 0.0076
O7 0.2428 0.0743 0.9107
O8 0.2504 0.5888 0.4211
O9 0.3327 0.5716 0.0706
O10 0.3858 0.0076 0.2061
O11 0.4107 0.5743 0.7428
O12 0.4211 0.2504 0.5888
O13 0.5076 0.8858 0.7061
O14 0.5706 0.0716 0.8327
O15 0.5716 0.0706 0.3327
O16 0.5743 0.7428 0.4107
O17 0.5888 0.4211 0.2504
O18 0.7061 0.5076 0.8858
O19 0.7428 0.4107 0.5743
O20 0.7504 0.9211 0.0888
O21 0.8327 0.5706 0.0716
O22 0.8858 0.7061 0.5076
O23 0.9107 0.2428 0.0743
O24 0.9211 0.0888 0.7504

Peak list (12 most intense, 2θ = 5–70°, sorted by position)
14.5 deg, I = 47
20.0 deg, I = 94
21.3 deg, I = 51
24.1 deg, I = 100
29.3 deg, I = 19
33.7 deg, I = 92
35.0 deg, I = 67
35.7 deg, I = 20
44.6 deg, I = 24
49.4 deg, I = 48
54.6 deg, I = 22
61.9 deg, I = 40


[2]
The following is a simulated powder XRD pattern of Na3MgNbSiP2O12. It was derived from a structure optimized by DFT (GGA-PBE), using Cu Kα (λ = 1.5418 Å).
Kinematic intensities with the Lorentz-polarization factor, no thermal factor.

Structural model:
Cell: 9.0253 9.0253 8.9244 Å, 119.33 119.33 59.88°
Fractional coordinates of all 40 atoms:
Na1 0.0721 0.9279 0.5000
Na2 0.2279 0.4239 0.9547
Na3 0.3422 0.7948 0.1821
Na4 0.4239 0.2279 0.4547
Na5 0.7948 0.3422 0.6821
Na6 0.9279 0.0721 0.0000
Mg1 0.1742 0.6681 0.7622
Mg2 0.6681 0.1742 0.2622
Nb1 0.4693 0.9579 0.6371
Nb2 0.9579 0.4693 0.1371
Si1 0.3608 0.5713 0.4500
Si2 0.5713 0.3608 0.9500
P1 0.0692 0.2746 0.4613
P2 0.2746 0.0692 0.9613
P3 0.7758 0.8604 0.4597
P4 0.8604 0.7758 0.9597
O1 0.0294 0.3159 0.2860
O2 0.0323 0.7470 0.9397
O3 0.0961 0.2450 0.9550
O4 0.1133 0.4290 0.6301
O5 0.1776 0.5292 0.2588
O6 0.2242 0.9230 0.9445
O7 0.2450 0.0961 0.4550
O8 0.2941 0.6320 0.6118
O9 0.3159 0.0294 0.7860
O10 0.3727 0.7549 0.4569
O11 0.3960 0.5396 0.9376
O12 0.4290 0.1133 0.1301
O13 0.5292 0.1776 0.7588
O14 0.5396 0.3960 0.4376
O15 0.5921 0.8721 0.4508
O16 0.6320 0.2941 0.1118
O17 0.6883 0.8225 0.7893
O18 0.7470 0.0323 0.4397
O19 0.7549 0.3727 0.9569
O20 0.8225 0.6883 0.2893
O21 0.8300 0.9284 0.1311
O22 0.8721 0.5921 0.9508
O23 0.9230 0.2242 0.4445
O24 0.9284 0.8300 0.6311

Peak list (12 most intense, 2θ = 5–70°, sorted by position)
13.7 deg, I = 34
14.0 deg, I = 74
19.6 deg, I = 100
22.9 deg, I = 29
23.2 deg, I = 36
23.3 deg, I = 31
24.1 deg, I = 39
28.2 deg, I = 37
31.0 deg, I = 50
31.4 deg, I = 58
31.7 deg, I = 42
34.4 deg, I = 85


[3]
The following is a simulated powder XRD pattern of EuAg. It was derived from a structure optimized by DFT (GGA-PBE), using Cu Kα (λ = 1.5418 Å).
Kinematic intensities with the Lorentz-polarization factor, no thermal factor.

Structural model:
Cell: 7.9977 4.7767 6.2396 Å, 90.00 90.00 90.00°
Fractional coordinates of all 8 atoms:
Eu1 0.1786 0.2500 0.1328
Eu2 0.3214 0.7500 0.6328
Eu3 0.6786 0.2500 0.3672
Eu4 0.8214 0.7500 0.8672
Ag1 0.0416 0.2500 0.6256
Ag2 0.4584 0.7500 0.1256
Ag3 0.5416 0.2500 0.8744
Ag4 0.9584 0.7500 0.3744

Peak list (12 most intense, 2θ = 5–70°, sorted by position)
26.0 deg, I = 40
29.1 deg, I = 90
30.8 deg, I = 70
32.5 deg, I = 85
36.2 deg, I = 100
36.7 deg, I = 39
37.7 deg, I = 52
47.8 deg, I = 24
49.4 deg, I = 39
53.2 deg, I = 16
53.6 deg, I = 25
62.4 deg, I = 21


[4]
The following is a simulated powder XRD pattern of NaAc3. It was derived from a structure optimized by DFT (GGA-PBE), using Cu Kα (λ = 1.5418 Å).
Kinematic intensities with the Lorentz-polarization factor, no thermal factor.

Structural model:
Cell: 5.5791 5.5791 5.5791 Å, 90.00 90.00 90.00°
Fractional coordinates of all 4 atoms:
Na1 0.0000 0.0000 0.0000
Ac1 0.0000 0.5000 0.5000
Ac2 0.5000 0.0000 0.5000
Ac3 0.5000 0.5000 0.0000

Peak list (12 most intense, 2θ = 5–70°, sorted by position)
15.9 deg, I = 22
22.5 deg, I = 20
27.7 deg, I = 100
32.1 deg, I = 52
36.0 deg, I = 12
39.6 deg, I = 10
46.0 deg, I = 39
49.0 deg, I = 7
54.6 deg, I = 47
57.2 deg, I = 14
62.3 deg, I = 5
67.1 deg, I = 6


[5]
The following is a simulated powder XRD pattern of Ca2Si3Ag. It was derived from a structure optimized by DFT (GGA-PBE), using Cu Kα (λ = 1.5418 Å).
Kinematic intensities with the Lorentz-polarization factor, no thermal factor.

Structural model:
Cell: 8.4210 8.3368 6.0191 Å, 69.70 68.20 42.10°
Fractional coordinates of all 12 atoms:
Ca1 0.2471 0.7529 0.2471
Ca2 0.2500 0.2500 0.2500
Ca3 0.7500 0.7500 0.7500
Ca4 0.7529 0.2471 0.7529
Si1 0.1616 0.1616 0.8384
Si2 0.1628 0.6755 0.8372
Si3 0.3245 0.8372 0.6755
Si4 0.6755 0.1628 0.3245
Si5 0.8372 0.3245 0.1628
Si6 0.8384 0.8384 0.1616
Ag1 0.3334 0.3334 0.6666
Ag2 0.6666 0.6666 0.3334

Peak list (12 most intense, 2θ = 5–70°, sorted by position)
16.0 deg, I = 15
20.5 deg, I = 21
21.3 deg, I = 10
23.7 deg, I = 30
29.7 deg, I = 9
32.3 deg, I = 100
37.9 deg, I = 8
41.6 deg, I = 19
43.4 deg, I = 49
48.4 deg, I = 12
55.1 deg, I = 20
61.7 deg, I = 33


[6]
The following is a simulated powder XRD pattern of Zr2Cd. It was derived from a structure optimized by DFT (GGA-PBE), using Cu Kα (λ = 1.5418 Å).
Kinematic intensities with the Lorentz-polarization factor, no thermal factor.

Structural model:
Cell: 7.2647 7.2647 7.2647 Å, 155.14 155.14 35.44°
Fractional coordinates of all 3 atoms:
Zr1 0.1682 0.1682 0.0000
Zr2 0.8318 0.8318 0.0000
Cd1 0.5000 0.5000 0.0000

Peak list (8 most intense, 2θ = 5–70°, sorted by position)
12.8 deg, I = 1
29.3 deg, I = 1
34.7 deg, I = 100
39.0 deg, I = 18
40.8 deg, I = 31
57.8 deg, I = 22
59.1 deg, I = 10
67.9 deg, I = 13


[7]
The following is a simulated powder XRD pattern of Cs2SO4. It was derived from a structure optimized by DFT (GGA-PBE), using Cu Kα (λ = 1.5418 Å).
Kinematic intensities with the Lorentz-polarization factor, no thermal factor.

Structural model:
Cell: 8.4250 6.3542 11.1342 Å, 90.00 90.00 90.00°
Fractional coordinates of all 28 atoms:
Cs1 0.0083 0.2500 0.1970
Cs2 0.1774 0.7500 0.4112
Cs3 0.3226 0.2500 0.9112
Cs4 0.4917 0.7500 0.6970
Cs5 0.5083 0.2500 0.3030
Cs6 0.6774 0.7500 0.0888
Cs7 0.8226 0.2500 0.5888
Cs8 0.9917 0.7500 0.8030
S1 0.2456 0.7500 0.0835
S2 0.2544 0.2500 0.5835
S3 0.7456 0.7500 0.4165
S4 0.7544 0.2500 0.9165
O1 0.0680 0.7500 0.0849
O2 0.1945 0.0571 0.6466
O3 0.1945 0.4429 0.6466
O4 0.1950 0.2500 0.4564
O5 0.3050 0.7500 0.9564
O6 0.3055 0.5571 0.1466
O7 0.3055 0.9429 0.1466
O8 0.4320 0.2500 0.5849
O9 0.5680 0.7500 0.4151
O10 0.6945 0.0571 0.8534
O11 0.6945 0.4429 0.8534
O12 0.6950 0.2500 0.0436
O13 0.8050 0.7500 0.5436
O14 0.8055 0.5571 0.3534
O15 0.8055 0.9429 0.3534
O16 0.9320 0.2500 0.9151

Peak list (12 most intense, 2θ = 5–70°, sorted by position)
23.7 deg, I = 42
26.6 deg, I = 100
27.8 deg, I = 60
28.1 deg, I = 45
32.1 deg, I = 12
32.9 deg, I = 22
38.8 deg, I = 15
39.0 deg, I = 22
43.8 deg, I = 13
46.1 deg, I = 12
48.2 deg, I = 19
58.1 deg, I = 12


[8]
The following is a simulated powder XRD pattern of Mg7Ti. It was derived from a structure optimized by DFT (GGA-PBE), using Cu Kα (λ = 1.5418 Å).
Kinematic intensities with the Lorentz-polarization factor, no thermal factor.

Structural model:
Cell: 6.2785 6.2785 6.2785 Å, 60.00 60.00 60.00°
Fractional coordinates of all 8 atoms:
Mg1 0.0000 0.0000 0.0000
Mg2 0.0000 0.0000 0.5000
Mg3 0.0000 0.5000 0.0000
Mg4 0.0000 0.5000 0.5000
Mg5 0.5000 0.0000 0.0000
Mg6 0.5000 0.0000 0.5000
Mg7 0.5000 0.5000 0.0000
Ti1 0.5000 0.5000 0.5000

Peak list (12 most intense, 2θ = 5–70°, sorted by position)
17.3 deg, I = 6
20.0 deg, I = 3
28.4 deg, I = 2
33.5 deg, I = 3
35.0 deg, I = 100
40.6 deg, I = 49
44.5 deg, I = 1
45.7 deg, I = 1
50.3 deg, I = 1
53.6 deg, I = 1
58.8 deg, I = 31
61.8 deg, I = 1